Theoretical X-ray powder pattern of Er4AgPd2Pt for λ = 1.5418 Å (Cu Kα), from DFT lattice parameters and positions (PBE).

Principal peaks in the range 5 to 70 degrees two-theta, by angle:
- 10.96 deg, I 2
- 21.00 deg, I 1
- 21.96 deg, I 1
- 25.41 deg, I 2
- 36.25 deg, I 100
- 49.99 deg, I 1
- 52.20 deg, I 17
- 65.16 deg, I 27
- 65.34 deg, I 8
- 69.47 deg, I 1

Structure:
Cell: 8.5689 8.5689 8.5689 Å, 33.66 33.66 33.66°
Atoms (fractional coordinates):
Er1 0.1212 0.1212 0.1212
Er2 0.3715 0.3715 0.3715
Er3 0.6285 0.6285 0.6285
Er4 0.8788 0.8788 0.8788
Ag1 0.5000 0.5000 0.5000
Pd1 0.2463 0.2463 0.2463
Pd2 0.7537 0.7537 0.7537
Pt1 0.0000 0.0000 0.0000